Computed powder diffraction line list
Compound: Cs3CdGe
Radiation: copper Kα
Structure: DFT lattice parameters and positions (PBE)
Intensities are scaled so that the largest is 100.

Largest 10 diffraction maxima, by intensity, 2θ from 10° to 90°:
- 2θ = 23.99°, intensity 100
- 2θ = 24.78°, intensity 72
- 2θ = 29.49°, intensity 67
- 2θ = 20.39°, intensity 55
- 2θ = 21.07°, intensity 45
- 2θ = 26.94°, intensity 39
- 2θ = 11.59°, intensity 32
- 2θ = 22.98°, intensity 30
- 2θ = 47.42°, intensity 30
- 2θ = 38.49°, intensity 28

Cell and atoms:
```
data_Cs3CdGe
_chemical_formula_sum 'Cs12 Cd4 Ge4'
_cell_length_a 7.888
_cell_length_b 8.711
_cell_length_c 17.695
_cell_angle_alpha 90.00
_cell_angle_beta 104.65
_cell_angle_gamma 90.00
_symmetry_space_group_name_H-M 'P 1'
_symmetry_Int_Tables_number 1
_symmetry_space_group_name_Hall 'P 1'
loop_
_atom_site_label
_atom_site_fract_x
_atom_site_fract_y
_atom_site_fract_z
_atom_site_occupancy
Cs1 0.032 0.233 0.131 1
Cs2 0.032 0.767 0.631 1
Cs3 0.217 0.252 0.685 1
Cs4 0.217 0.748 0.185 1
Cs5 0.414 0.233 0.970 1
Cs6 0.414 0.767 0.470 1
Cs7 0.586 0.233 0.530 1
Cs8 0.586 0.767 0.030 1
Cs9 0.783 0.252 0.815 1
Cs10 0.783 0.748 0.315 1
Cs11 0.968 0.233 0.369 1
Cs12 0.968 0.767 0.869 1
Cd1 0.411 0.389 0.315 1
Cd2 0.411 0.611 0.815 1
Cd3 0.589 0.389 0.185 1
Cd4 0.589 0.611 0.685 1
Ge1 0.485 0.078 0.318 1
Ge2 0.485 0.922 0.818 1
Ge3 0.515 0.078 0.182 1
Ge4 0.515 0.922 0.682 1
```


Computed powder diffraction line list
Compound: Mn2WAu
Radiation: copper Kα
Structure: DFT lattice parameters and positions (PBE)
Intensities are scaled so that the largest is 100.

Largest 10 diffraction maxima, by intensity, 2θ from 10° to 90°:
- 2θ = 40.40°, intensity 100
- 2θ = 45.13°, intensity 36
- 2θ = 31.49°, intensity 29
- 2θ = 80.06°, intensity 27
- 2θ = 24.67°, intensity 26
- 2θ = 70.09°, intensity 19
- 2θ = 52.10°, intensity 15
- 2θ = 50.58°, intensity 13
- 2θ = 65.73°, intensity 12
- 2θ = 87.36°, intensity 11

Cell and atoms:
```
data_Mn2WAu
_chemical_formula_sum 'Mn2 W1 Au1'
_cell_length_a 4.594
_cell_length_b 4.594
_cell_length_c 4.594
_cell_angle_alpha 128.13
_cell_angle_beta 128.13
_cell_angle_gamma 76.42
_symmetry_space_group_name_H-M 'P 1'
_symmetry_Int_Tables_number 1
_symmetry_space_group_name_Hall 'P 1'
loop_
_atom_site_label
_atom_site_fract_x
_atom_site_fract_y
_atom_site_fract_z
_atom_site_occupancy
Mn1 0.250 0.750 0.500 1
Mn2 0.750 0.250 0.500 1
W1 0.000 0.000 0.000 1
Au1 0.500 0.500 0.000 1
```


Computed powder diffraction line list
Compound: Rb4Tl4Ga
Radiation: copper Kα
Structure: DFT lattice parameters and positions (PBE)
Intensities are scaled so that the largest is 100.

Largest 10 diffraction maxima, by intensity, 2θ from 10° to 90°:
- 2θ = 26.54°, intensity 100
- 2θ = 27.08°, intensity 49
- 2θ = 33.76°, intensity 44
- 2θ = 47.52°, intensity 27
- 2θ = 38.68°, intensity 21
- 2θ = 54.95°, intensity 18
- 2θ = 33.44°, intensity 17
- 2θ = 52.26°, intensity 16
- 2θ = 28.63°, intensity 12
- 2θ = 30.71°, intensity 12

Cell and atoms:
```
data_Rb4Tl4Ga
_chemical_formula_sum 'Rb4 Tl4 Ga1'
_cell_length_a 10.757
_cell_length_b 10.757
_cell_length_c 10.757
_cell_angle_alpha 144.35
_cell_angle_beta 144.35
_cell_angle_gamma 51.30
_symmetry_space_group_name_H-M 'P 1'
_symmetry_Int_Tables_number 1
_symmetry_space_group_name_Hall 'P 1'
loop_
_atom_site_label
_atom_site_fract_x
_atom_site_fract_y
_atom_site_fract_z
_atom_site_occupancy
Rb1 0.110 0.110 0.531 1
Rb2 0.421 0.890 0.000 1
Rb3 0.579 0.579 0.469 1
Rb4 0.890 0.421 0.000 1
Tl1 0.160 0.740 0.000 1
Tl2 0.260 0.260 0.420 1
Tl3 0.740 0.160 0.000 1
Tl4 0.840 0.840 0.580 1
Ga1 0.500 0.500 0.000 1
```


Computed powder diffraction line list
Compound: Hf2Zn3Ga
Radiation: copper Kα
Structure: DFT lattice parameters and positions (PBE)
Intensities are scaled so that the largest is 100.

Largest 10 diffraction maxima, by intensity, 2θ from 10° to 90°:
- 2θ = 37.28°, intensity 100
- 2θ = 41.86°, intensity 60
- 2θ = 57.29°, intensity 29
- 2θ = 23.81°, intensity 27
- 2θ = 73.43°, intensity 27
- 2θ = 74.47°, intensity 21
- 2θ = 58.47°, intensity 7
- 2θ = 76.42°, intensity 7
- 2θ = 48.72°, intensity 4
- 2θ = 64.03°, intensity 4

Cell and atoms:
```
data_Hf2Zn3Ga
_chemical_formula_sum 'Hf2 Zn3 Ga1'
_cell_length_a 3.157
_cell_length_b 4.319
_cell_length_c 7.469
_cell_angle_alpha 90.00
_cell_angle_beta 90.00
_cell_angle_gamma 90.00
_symmetry_space_group_name_H-M 'P 1'
_symmetry_Int_Tables_number 1
_symmetry_space_group_name_Hall 'P 1'
loop_
_atom_site_label
_atom_site_fract_x
_atom_site_fract_y
_atom_site_fract_z
_atom_site_occupancy
Hf1 0.000 0.000 0.000 1
Hf2 0.000 0.500 0.497 1
Zn1 0.500 0.000 0.669 1
Zn2 0.500 0.500 0.162 1
Zn3 0.500 0.500 0.830 1
Ga1 0.500 0.000 0.334 1
```